1.
Diffraction record for CdCo2Te. The powder XRD pattern is theoretical, not measured: it uses a cell relaxed with PBE and λ = 1.5418 Å (Cu Kα).
Lines closer than 0.1° are merged.

Largest 10 diffraction maxima, sorted by position, 5° ≤ 2θ ≤ 70°:
d/Å	I_rel
7.389	327
3.695	374
2.931	480
2.901	467
2.416	367
2.399	360
2.244	1000
1.950	500
1.941	493
1.918	241

Cell lengths 3.1547, 3.1932, 7.3893 Å; angles 90.00, 90.00, 90.00 degrees
Atoms (fractional coordinates):
Cd (0.0000, 0.0000, 0.0000)
Co (0.0000, 0.0000, 0.3809)
Co (0.5000, 0.5000, 0.2147)
Te (0.5000, 0.5000, 0.5626)

***

2.
Diffraction record for CdCo2Te. The powder XRD pattern is theoretical, not measured: it uses a cell relaxed with PBE and λ = 1.5418 Å (Cu Kα).
Lines closer than 0.1° are merged.

Largest 10 diffraction maxima, sorted by position, 5° ≤ 2θ ≤ 70°:
d/Å	I_rel
6.124	302
3.447	544
3.004	144
2.289	1000
1.990	488
1.893	77
1.723	74
1.669	72
1.502	253
1.399	87

Cell lengths 3.9800, 3.9800, 6.1237 Å; angles 90.00, 90.00, 120.00 degrees
Atoms (fractional coordinates):
Cd (0.0000, 0.0000, 0.0000)
Co (0.3333, 0.6667, 0.3009)
Co (0.6667, 0.3333, 0.2734)
Te (0.0000, 0.0000, 0.5194)

***

3.
Diffraction record for Th3Cd3Co. The powder XRD pattern is theoretical, not measured: it uses a cell relaxed with PBE and λ = 1.5418 Å (Cu Kα).
Lines closer than 0.1° are merged.

Largest 10 diffraction maxima, sorted by position, 5° ≤ 2θ ≤ 70°:
d/Å	I_rel
3.266	157
2.906	472
2.740	1000
2.517	451
1.994	129
1.854	116
1.739	123
1.678	495
1.644	108
1.431	192

Cell lengths 10.0678, 10.0678, 10.0678 Å; angles 60.00, 60.00, 60.00 degrees
Atoms (fractional coordinates):
Th (0.0719, 0.0719, 0.6781)
Th (0.0719, 0.6781, 0.0719)
Th (0.0719, 0.6781, 0.6781)
Th (0.3219, 0.3219, 0.9281)
Th (0.3219, 0.9281, 0.3219)
Th (0.3219, 0.9281, 0.9281)
Th (0.6781, 0.0719, 0.0719)
Th (0.6781, 0.0719, 0.6781)
Th (0.6781, 0.6781, 0.0719)
Th (0.9281, 0.3219, 0.3219)
Th (0.9281, 0.3219, 0.9281)
Th (0.9281, 0.9281, 0.3219)
Cd (0.0000, 0.5000, 0.5000)
Cd (0.2949, 0.2949, 0.2949)
Cd (0.2949, 0.2949, 0.6153)
Cd (0.2949, 0.6153, 0.2949)
Cd (0.3847, 0.7051, 0.7051)
Cd (0.5000, 0.0000, 0.5000)
Cd (0.5000, 0.5000, 0.0000)
Cd (0.5000, 0.5000, 0.5000)
Cd (0.6153, 0.2949, 0.2949)
Cd (0.7051, 0.3847, 0.7051)
Cd (0.7051, 0.7051, 0.3847)
Cd (0.7051, 0.7051, 0.7051)
Co (0.0000, 0.0000, 0.0000)
Co (0.0000, 0.0000, 0.5000)
Co (0.0000, 0.5000, 0.0000)
Co (0.5000, 0.0000, 0.0000)

***

4.
Diffraction record for Tm3CdCo. The powder XRD pattern is theoretical, not measured: it uses a cell relaxed with PBE and λ = 1.5418 Å (Cu Kα).
Lines closer than 0.1° are merged.

Largest 10 diffraction maxima, sorted by position, 5° ≤ 2θ ≤ 70°:
d/Å	I_rel
3.147	281
3.046	543
2.780	670
2.719	628
2.491	1000
2.467	483
2.313	212
2.189	231
1.660	217
1.577	301

Cell lengths 9.2563, 8.5508, 5.6895 Å; angles 78.25, 64.75, 37.00 degrees
Atoms (fractional coordinates):
Tm (0.1958, 0.5750, 0.4250)
Tm (0.2013, 0.2013, 0.7987)
Tm (0.4250, 0.8042, 0.1958)
Tm (0.5750, 0.1958, 0.8042)
Tm (0.7987, 0.7987, 0.2013)
Tm (0.8042, 0.4250, 0.5750)
Cd (0.2139, 0.7861, 0.7861)
Cd (0.7861, 0.2139, 0.2139)
Co (0.2500, 0.2500, 0.2500)
Co (0.7500, 0.7500, 0.7500)

***

5.
Diffraction record for Tm4Cd5Co2. The powder XRD pattern is theoretical, not measured: it uses a cell relaxed with PBE and λ = 1.5418 Å (Cu Kα).
Lines closer than 0.1° are merged.

Largest 10 diffraction maxima, sorted by position, 5° ≤ 2θ ≤ 70°:
d/Å	I_rel
2.772	669
2.672	931
2.589	1000
2.582	765
2.521	739
2.484	777
2.452	578
2.319	576
2.307	649
1.767	446

Cell lengths 7.5870, 3.5331, 9.2532 Å; angles 90.00, 94.57, 90.00 degrees
Atoms (fractional coordinates):
Tm (0.1698, 0.0000, 0.3363)
Tm (0.2078, 0.0000, 0.9425)
Tm (0.7922, 0.0000, 0.0575)
Tm (0.8302, 0.0000, 0.6637)
Cd (0.1763, 0.5000, 0.6468)
Cd (0.4514, 0.5000, 0.1680)
Cd (0.5000, 0.5000, 0.5000)
Cd (0.5486, 0.5000, 0.8320)
Cd (0.8237, 0.5000, 0.3532)
Co (0.0686, 0.5000, 0.1326)
Co (0.9314, 0.5000, 0.8674)

***

6.
Diffraction record for Zn4CdCo. The powder XRD pattern is theoretical, not measured: it uses a cell relaxed with PBE and λ = 1.5418 Å (Cu Kα).
Lines closer than 0.1° are merged.

Largest 10 diffraction maxima, sorted by position, 5° ≤ 2θ ≤ 70°:
d/Å	I_rel
4.093	39
3.545	42
2.506	344
2.137	1000
2.046	337
1.772	23
1.626	12
1.585	13
1.447	114
1.364	290

Cell lengths 5.0128, 5.0128, 5.0128 Å; angles 60.00, 60.00, 60.00 degrees
Atoms (fractional coordinates):
Zn (0.3759, 0.3759, 0.3759)
Zn (0.3759, 0.3759, 0.8723)
Zn (0.3759, 0.8723, 0.3759)
Zn (0.8723, 0.3759, 0.3759)
Cd (0.0000, 0.0000, 0.0000)
Co (0.7500, 0.7500, 0.7500)

***

7.
Diffraction record for Zr3Cd3Co. The powder XRD pattern is theoretical, not measured: it uses a cell relaxed with PBE and λ = 1.5418 Å (Cu Kα).
Lines closer than 0.1° are merged.

Largest 10 diffraction maxima, sorted by position, 5° ≤ 2θ ≤ 70°:
d/Å	I_rel
7.664	64
2.710	279
2.555	1000
2.347	607
2.212	119
2.001	107
1.728	107
1.564	298
1.533	87
1.448	81

Cell lengths 9.3863, 9.3863, 9.3863 Å; angles 60.00, 60.00, 60.00 degrees
Atoms (fractional coordinates):
Zr (0.0716, 0.0716, 0.6784)
Zr (0.0716, 0.6784, 0.0716)
Zr (0.0716, 0.6784, 0.6784)
Zr (0.3216, 0.3216, 0.9284)
Zr (0.3216, 0.9284, 0.3216)
Zr (0.3216, 0.9284, 0.9284)
Zr (0.6784, 0.0716, 0.0716)
Zr (0.6784, 0.0716, 0.6784)
Zr (0.6784, 0.6784, 0.0716)
Zr (0.9284, 0.3216, 0.3216)
Zr (0.9284, 0.3216, 0.9284)
Zr (0.9284, 0.9284, 0.3216)
Cd (0.0000, 0.5000, 0.5000)
Cd (0.2875, 0.2875, 0.2875)
Cd (0.2875, 0.2875, 0.6375)
Cd (0.2875, 0.6375, 0.2875)
Cd (0.3625, 0.7125, 0.7125)
Cd (0.5000, 0.0000, 0.5000)
Cd (0.5000, 0.5000, 0.0000)
Cd (0.5000, 0.5000, 0.5000)
Cd (0.6375, 0.2875, 0.2875)
Cd (0.7125, 0.3625, 0.7125)
Cd (0.7125, 0.7125, 0.3625)
Cd (0.7125, 0.7125, 0.7125)
Co (0.0000, 0.0000, 0.0000)
Co (0.0000, 0.0000, 0.5000)
Co (0.0000, 0.5000, 0.0000)
Co (0.5000, 0.0000, 0.0000)

***

8.
Diffraction record for Cr5Cd3. The powder XRD pattern is theoretical, not measured: it uses a cell relaxed with PBE and λ = 1.5418 Å (Cu Kα).
Lines closer than 0.1° are merged.

Largest 10 diffraction maxima, sorted by position, 5° ≤ 2θ ≤ 70°:
d/Å	I_rel
3.631	160
3.021	1000
2.745	183
2.421	469
2.323	917
2.179	221
2.014	367
1.933	244
1.889	549
1.868	192

Cell lengths 4.3571, 8.3830, 8.3830 Å; angles 119.93, 90.00, 90.00 degrees
Atoms (fractional coordinates):
Cr (0.0000, 0.0000, 0.0000)
Cr (0.0000, 0.1584, 0.3174)
Cr (0.0000, 0.3174, 0.1584)
Cr (0.2083, 0.4917, 0.8252)
Cr (0.2083, 0.8252, 0.4917)
Cr (0.5000, 0.1588, 0.9995)
Cr (0.5000, 0.3174, 0.3174)
Cr (0.5000, 0.9995, 0.1588)
Cr (0.7917, 0.4917, 0.8252)
Cr (0.7917, 0.8252, 0.4917)
Cd (0.0000, 0.1582, 0.7768)
Cd (0.0000, 0.5397, 0.5397)
Cd (0.0000, 0.7768, 0.1582)
Cd (0.5000, 0.1585, 0.5486)
Cd (0.5000, 0.5486, 0.1585)
Cd (0.5000, 0.7688, 0.7688)

***

9.
Diffraction record for Cr4Cd. The powder XRD pattern is theoretical, not measured: it uses a cell relaxed with PBE and λ = 1.5418 Å (Cu Kα).
Lines closer than 0.1° are merged.

Largest 10 diffraction maxima, sorted by position, 5° ≤ 2θ ≤ 70°:
d/Å	I_rel
2.708	183
2.515	770
2.501	74
2.381	1000
1.915	517
1.837	75
1.774	297
1.523	296
1.420	141
1.354	149

Cell lengths 5.6885, 5.6885, 5.6885 Å; angles 140.66, 140.66, 56.85 degrees
Atoms (fractional coordinates):
Cr (0.1207, 0.1207, 0.0000)
Cr (0.2500, 0.7500, 0.5000)
Cr (0.7500, 0.2500, 0.5000)
Cr (0.8793, 0.8793, 0.0000)
Cd (0.5000, 0.5000, 0.0000)

***

10.
Diffraction record for Cr3Cd. The powder XRD pattern is theoretical, not measured: it uses a cell relaxed with PBE and λ = 1.5418 Å (Cu Kα).
Lines closer than 0.1° are merged.

Largest 10 diffraction maxima, sorted by position, 5° ≤ 2θ ≤ 70°:
d/Å	I_rel
8.588	128
4.294	115
2.863	135
2.356	138
2.153	279
2.147	207
2.128	1000
1.520	126
1.489	78
1.406	93

Cell lengths 2.6177, 2.6177, 8.5876 Å; angles 90.00, 90.00, 110.65 degrees
Atoms (fractional coordinates):
Cr (0.0000, 0.0000, 0.0000)
Cr (0.5000, 0.5000, 0.2157)
Cr (0.5000, 0.5000, 0.7843)
Cd (0.0000, 0.0000, 0.5000)

***

11.
Diffraction record for CsCrCd3. The powder XRD pattern is theoretical, not measured: it uses a cell relaxed with PBE and λ = 1.5418 Å (Cu Kα).
Lines closer than 0.1° are merged.

Largest 10 diffraction maxima, sorted by position, 5° ≤ 2θ ≤ 70°:
d/Å	I_rel
5.554	27
3.927	70
3.206	1000
2.777	809
2.267	30
1.964	574
1.675	438
1.603	195
1.484	15
1.388	89

Cell lengths 5.5537, 5.5537, 5.5537 Å; angles 90.00, 90.00, 90.00 degrees
Atoms (fractional coordinates):
Cs (0.0000, 0.0000, 0.0000)
Cr (0.5000, 0.5000, 0.5000)
Cd (0.0000, 0.5000, 0.5000)
Cd (0.5000, 0.0000, 0.5000)
Cd (0.5000, 0.5000, 0.0000)